Structure and calculated powder XRD pattern of MgTl2Si2Au7 (a DFT-relaxed cell (GGA-PBE, Alexandria); Cu Kα).

Peak list (6 most intense, 15 to 90 degrees two-theta, by angle)
| 2theta | Rel. int. |
| --- | --- |
| 23.08 | 81.1 |
| 30.84 | 62.0 |
| 30.99 | 61.2 |
| 35.07 | 90.6 |
| 42.39 | 72.6 |
| 43.46 | 100.0 |

Structural model:
Cell lengths 4.165, 4.165, 15.678 Å; angles 97.37, 97.37, 90.27 degrees
Sites, in units of the cell vectors:
Mg (0.000, 0.000, 0.000)
Tl (0.209, 0.209, 0.420)
Tl (0.791, 0.791, 0.580)
Si (0.390, 0.390, 0.774)
Si (0.610, 0.610, 0.226)
Au (0.067, 0.567, 0.136)
Au (0.310, 0.310, 0.619)
Au (0.433, 0.933, 0.864)
Au (0.500, 0.500, 0.000)
Au (0.567, 0.067, 0.136)
Au (0.690, 0.690, 0.381)
Au (0.933, 0.433, 0.864)


Structure and calculated powder XRD pattern of Sm3Mg7Au2 (a DFT-relaxed cell (GGA-PBE, Alexandria); Cu Kα).

Peak list (6 most intense, 15 to 90 degrees two-theta, by angle)
| 2theta | Rel. int. |
| --- | --- |
| 18.66 | 46.1 |
| 21.27 | 18.2 |
| 30.04 | 75.6 |
| 35.60 | 100.0 |
| 41.64 | 17.0 |
| 57.01 | 25.9 |

Structural model:
Cell lengths 10.111, 10.111, 10.111 Å; angles 34.22, 34.22, 34.22 degrees
Sites, in units of the cell vectors:
Sm (0.000, 0.000, 0.000)
Sm (0.146, 0.146, 0.146)
Sm (0.854, 0.854, 0.854)
Mg (0.075, 0.579, 0.579)
Mg (0.421, 0.421, 0.925)
Mg (0.421, 0.925, 0.421)
Mg (0.500, 0.500, 0.500)
Mg (0.579, 0.075, 0.579)
Mg (0.579, 0.579, 0.075)
Mg (0.925, 0.421, 0.421)
Au (0.334, 0.334, 0.334)
Au (0.666, 0.666, 0.666)


Structure and calculated powder XRD pattern of SmMg4Au4 (a DFT-relaxed cell (GGA-PBE, Alexandria); Cu Kα).

Peak list (6 most intense, 15 to 90 degrees two-theta, by angle)
| 2theta | Rel. int. |
| --- | --- |
| 21.48 | 30.4 |
| 27.77 | 100.0 |
| 30.65 | 32.7 |
| 36.46 | 25.3 |
| 41.76 | 31.2 |
| 42.70 | 43.1 |

Structural model:
Cell lengths 6.971, 6.971, 8.275 Å; angles 90.00, 90.00, 90.00 degrees
Sites, in units of the cell vectors:
Sm (0.250, 0.750, 0.250)
Sm (0.750, 0.250, 0.750)
Mg (0.002, 0.750, 0.632)
Mg (0.250, 0.502, 0.868)
Mg (0.250, 0.998, 0.868)
Mg (0.498, 0.750, 0.632)
Mg (0.502, 0.250, 0.368)
Mg (0.750, 0.002, 0.132)
Mg (0.750, 0.498, 0.132)
Mg (0.998, 0.250, 0.368)
Au (0.037, 0.250, 0.040)
Au (0.250, 0.037, 0.540)
Au (0.250, 0.463, 0.540)
Au (0.463, 0.250, 0.040)
Au (0.537, 0.750, 0.960)
Au (0.750, 0.537, 0.460)
Au (0.750, 0.963, 0.460)
Au (0.963, 0.750, 0.960)


Structure and calculated powder XRD pattern of Sm4Mg3Au (a DFT-relaxed cell (GGA-PBE, Alexandria); Cu Kα).

Peak list (6 most intense, 15 to 90 degrees two-theta, by angle)
| 2theta | Rel. int. |
| --- | --- |
| 23.38 | 17.5 |
| 33.30 | 51.9 |
| 33.42 | 100.0 |
| 47.81 | 18.9 |
| 59.58 | 38.0 |
| 59.81 | 17.3 |

Structural model:
Cell lengths 3.805, 3.805, 15.118 Å; angles 90.00, 90.00, 90.00 degrees
Sites, in units of the cell vectors:
Sm (0.000, 0.000, 0.115)
Sm (0.000, 0.000, 0.371)
Sm (0.000, 0.000, 0.629)
Sm (0.000, 0.000, 0.885)
Mg (0.500, 0.500, 0.246)
Mg (0.500, 0.500, 0.500)
Mg (0.500, 0.500, 0.754)
Au (0.500, 0.500, 0.000)


Structure and calculated powder XRD pattern of Sm4MgAu (a DFT-relaxed cell (GGA-PBE, Alexandria); Cu Kα).

Peak list (6 most intense, 15 to 90 degrees two-theta, by angle)
| 2theta | Rel. int. |
| --- | --- |
| 19.09 | 43.8 |
| 25.97 | 100.0 |
| 30.40 | 44.5 |
| 35.28 | 82.2 |
| 45.05 | 58.6 |
| 47.27 | 27.0 |

Structural model:
Cell lengths 8.310, 8.310, 8.310 Å; angles 111.97, 111.97, 104.57 degrees
Sites, in units of the cell vectors:
Sm (0.146, 0.466, 0.680)
Sm (0.216, 0.036, 0.820)
Sm (0.216, 0.396, 0.180)
Sm (0.311, 0.000, 0.311)
Sm (0.689, 0.000, 0.689)
Sm (0.750, 0.561, 0.811)
Sm (0.750, 0.939, 0.189)
Sm (0.786, 0.466, 0.320)
Mg (0.236, 0.736, 0.500)
Mg (0.486, 0.486, 0.000)
Au (0.731, 0.231, 0.500)
Au (0.981, 0.981, 0.000)


Structure and calculated powder XRD pattern of SmMg2SnAu4 (a DFT-relaxed cell (GGA-PBE, Alexandria); Cu Kα).

Peak list (6 most intense, 15 to 90 degrees two-theta, by angle)
| 2theta | Rel. int. |
| --- | --- |
| 23.10 | 29.3 |
| 25.70 | 40.0 |
| 34.31 | 100.0 |
| 38.90 | 90.6 |
| 39.68 | 34.7 |
| 52.83 | 29.7 |

Structural model:
Cell lengths 9.569, 9.569, 9.569 Å; angles 28.01, 28.01, 28.01 degrees
Sites, in units of the cell vectors:
Sm (0.000, 0.000, 0.000)
Mg (0.245, 0.245, 0.245)
Mg (0.755, 0.755, 0.755)
Sn (0.500, 0.500, 0.500)
Au (0.118, 0.118, 0.118)
Au (0.389, 0.389, 0.389)
Au (0.611, 0.611, 0.611)
Au (0.882, 0.882, 0.882)


Structure and calculated powder XRD pattern of SmMgZn2Au4 (a DFT-relaxed cell (GGA-PBE, Alexandria); Cu Kα).

Peak list (6 most intense, 15 to 90 degrees two-theta, by angle)
| 2theta | Rel. int. |
| --- | --- |
| 26.51 | 41.4 |
| 33.45 | 22.3 |
| 36.21 | 90.1 |
| 39.41 | 100.0 |
| 54.59 | 27.8 |
| 69.38 | 27.1 |

Structural model:
Cell lengths 8.887, 8.887, 8.887 Å; angles 29.82, 29.82, 29.82 degrees
Sites, in units of the cell vectors:
Sm (0.000, 0.000, 0.000)
Mg (0.500, 0.500, 0.500)
Zn (0.245, 0.245, 0.245)
Zn (0.755, 0.755, 0.755)
Au (0.128, 0.128, 0.128)
Au (0.394, 0.394, 0.394)
Au (0.606, 0.606, 0.606)
Au (0.872, 0.872, 0.872)


Structure and calculated powder XRD pattern of Mg3SnAu4 (a DFT-relaxed cell (GGA-PBE, Alexandria); Cu Kα).

Peak list (6 most intense, 15 to 90 degrees two-theta, by angle)
| 2theta | Rel. int. |
| --- | --- |
| 26.53 | 44.4 |
| 37.87 | 100.0 |
| 46.83 | 13.3 |
| 54.63 | 17.5 |
| 61.73 | 17.7 |
| 68.39 | 36.1 |

Structural model:
Cell lengths 5.820, 5.820, 5.820 Å; angles 109.47, 109.47, 109.47 degrees
Sites, in units of the cell vectors:
Mg (0.000, 0.500, 0.500)
Mg (0.500, 0.000, 0.500)
Mg (0.500, 0.500, 0.000)
Sn (0.000, 0.000, 0.000)
Au (0.000, 0.000, 0.500)
Au (0.000, 0.500, 0.000)
Au (0.500, 0.000, 0.000)
Au (0.500, 0.500, 0.500)


Structure and calculated powder XRD pattern of Mg2SnAu7 (a DFT-relaxed cell (GGA-PBE, Alexandria); Cu Kα).

Peak list (6 most intense, 15 to 90 degrees two-theta, by angle)
| 2theta | Rel. int. |
| --- | --- |
| 23.52 | 47.2 |
| 31.35 | 59.7 |
| 34.81 | 55.1 |
| 39.32 | 100.0 |
| 40.47 | 74.2 |
| 42.22 | 79.2 |

Structural model:
Cell lengths 8.065, 8.065, 4.455 Å; angles 90.00, 90.00, 125.14 degrees
Sites, in units of the cell vectors:
Mg (0.201, 0.799, 0.000)
Mg (0.799, 0.201, 0.000)
Sn (0.500, 0.500, 0.500)
Au (0.000, 0.000, 0.000)
Au (0.204, 0.415, 0.000)
Au (0.304, 0.696, 0.500)
Au (0.415, 0.204, 0.000)
Au (0.585, 0.796, 0.000)
Au (0.696, 0.304, 0.500)
Au (0.796, 0.585, 0.000)


Structure and calculated powder XRD pattern of Mg6SnAu3 (a DFT-relaxed cell (GGA-PBE, Alexandria); Cu Kα).

Peak list (6 most intense, 15 to 90 degrees two-theta, by angle)
| 2theta | Rel. int. |
| --- | --- |
| 21.51 | 50.2 |
| 23.32 | 100.0 |
| 25.81 | 48.1 |
| 29.09 | 73.9 |
| 38.60 | 88.9 |
| 39.86 | 54.6 |

Structural model:
Cell lengths 9.459, 4.523, 10.936 Å; angles 90.00, 111.98, 90.00 degrees
Sites, in units of the cell vectors:
Mg (0.020, 0.250, 0.198)
Mg (0.117, 0.750, 0.582)
Mg (0.233, 0.750, 0.104)
Mg (0.355, 0.750, 0.449)
Mg (0.378, 0.250, 0.727)
Mg (0.398, 0.250, 0.014)
Mg (0.602, 0.750, 0.986)
Mg (0.622, 0.750, 0.273)
Mg (0.645, 0.250, 0.551)
Mg (0.767, 0.250, 0.896)
Mg (0.883, 0.250, 0.418)
Mg (0.980, 0.750, 0.802)
Sn (0.385, 0.250, 0.286)
Sn (0.615, 0.750, 0.714)
Au (0.087, 0.250, 0.967)
Au (0.192, 0.250, 0.462)
Au (0.289, 0.750, 0.854)
Au (0.711, 0.250, 0.146)
Au (0.808, 0.750, 0.538)
Au (0.913, 0.750, 0.033)


Structure and calculated powder XRD pattern of Mg7SnAu2 (a DFT-relaxed cell (GGA-PBE, Alexandria); Cu Kα).

Peak list (6 most intense, 15 to 90 degrees two-theta, by angle)
| 2theta | Rel. int. |
| --- | --- |
| 23.13 | 100.0 |
| 27.54 | 20.5 |
| 37.66 | 53.9 |
| 39.34 | 26.4 |
| 43.15 | 18.7 |
| 46.14 | 33.5 |

Structural model:
Cell lengths 11.094, 11.094, 11.094 Å; angles 156.17, 156.17, 33.95 degrees
Sites, in units of the cell vectors:
Mg (0.000, 0.000, 0.000)
Mg (0.102, 0.602, 0.500)
Mg (0.250, 0.750, 0.500)
Mg (0.398, 0.898, 0.500)
Mg (0.602, 0.102, 0.500)
Mg (0.750, 0.250, 0.500)
Mg (0.898, 0.398, 0.500)
Sn (0.500, 0.500, 0.000)
Au (0.172, 0.172, 0.000)
Au (0.828, 0.828, 0.000)


Structure and calculated powder XRD pattern of MgSn2Au2 (a DFT-relaxed cell (GGA-PBE, Alexandria); Cu Kα).

Peak list (6 most intense, 15 to 90 degrees two-theta, by angle)
| 2theta | Rel. int. |
| --- | --- |
| 17.07 | 21.0 |
| 34.70 | 100.0 |
| 38.77 | 21.7 |
| 43.17 | 13.0 |
| 59.40 | 12.7 |
| 72.93 | 18.5 |

Structural model:
Cell lengths 7.344, 7.344, 4.191 Å; angles 90.00, 90.00, 90.00 degrees
Sites, in units of the cell vectors:
Mg (0.000, 0.000, 0.000)
Mg (0.500, 0.500, 0.000)
Sn (0.166, 0.334, 0.500)
Sn (0.334, 0.834, 0.500)
Sn (0.666, 0.166, 0.500)
Sn (0.834, 0.666, 0.500)
Au (0.142, 0.642, 0.000)
Au (0.358, 0.142, 0.000)
Au (0.642, 0.858, 0.000)
Au (0.858, 0.358, 0.000)


Structure and calculated powder XRD pattern of MgSn2Au8 (a DFT-relaxed cell (GGA-PBE, Alexandria); Cu Kα).

Peak list (6 most intense, 15 to 90 degrees two-theta, by angle)
| 2theta | Rel. int. |
| --- | --- |
| 37.28 | 100.0 |
| 42.70 | 17.2 |
| 43.36 | 16.9 |
| 43.88 | 15.1 |
| 74.60 | 13.0 |
| 75.54 | 13.3 |

Structural model:
Cell lengths 7.785, 7.785, 7.785 Å; angles 148.91, 114.08, 74.67 degrees
Sites, in units of the cell vectors:
Mg (0.000, 0.000, 0.000)
Sn (0.350, 0.350, 0.000)
Sn (0.650, 0.650, 0.000)
Au (0.088, 0.839, 0.249)
Au (0.172, 0.672, 0.500)
Au (0.236, 0.500, 0.736)
Au (0.410, 0.161, 0.249)
Au (0.590, 0.839, 0.751)
Au (0.764, 0.500, 0.264)
Au (0.828, 0.328, 0.500)
Au (0.912, 0.161, 0.751)